Diffraction record for Li2CoP2O7. The powder diffractogram is computed, not measured: it uses a PBE+U-relaxed structure and λ = 1.5418 Å (Cu Kα).
Peak positions follow from Bragg's law for the DFT cell and can differ from measured ones.

Atomic structure:
Lattice parameters (Å, degrees): 6.531 9.219 10.405 66.15 87.76 73.40
Sites, in units of the cell vectors:
Li1 0.000 0.000 0.000
Li2 0.006 0.372 0.097
Li3 0.125 0.093 0.621
Li4 0.237 0.714 0.630
Li5 0.302 0.780 0.239
Li6 0.532 0.962 0.512
Li7 0.581 0.397 0.162
Li8 0.818 0.814 0.754
Co1 0.453 0.985 0.916
Co2 0.547 0.376 0.882
Co3 0.809 0.391 0.394
Co4 0.886 0.782 0.354
P1 0.058 0.330 0.835
P2 0.092 0.068 0.339
P3 0.249 0.696 0.933
P4 0.298 0.433 0.435
P5 0.479 0.077 0.187
P6 0.611 0.178 0.671
P7 0.739 0.593 0.601
P8 0.860 0.690 0.080
O1 0.066 0.944 0.281
O2 0.088 0.597 0.036
O3 0.137 0.785 0.783
O4 0.138 0.339 0.439
O5 0.149 0.150 0.846
O6 0.198 0.615 0.411
O7 0.211 0.979 0.487
O8 0.222 0.414 0.842
O9 0.245 0.168 0.228
O10 0.265 0.820 0.994
O11 0.418 0.344 0.595
O12 0.434 0.968 0.119
O13 0.457 0.558 0.959
O14 0.479 0.416 0.338
O15 0.540 0.573 0.678
O16 0.543 0.030 0.672
O17 0.559 0.220 0.093
O18 0.611 0.970 0.329
O19 0.628 0.163 0.825
O20 0.724 0.798 0.939
O21 0.726 0.601 0.449
O22 0.788 0.540 0.174
O23 0.803 0.744 0.594
O24 0.812 0.197 0.595
O25 0.885 0.339 0.939
O26 0.889 0.210 0.314
O27 0.904 0.796 0.150
O28 0.935 0.429 0.678

Peak list (10 most intense, 2θ from 15° to 90°, sorted by position)
Position (°2θ), I_rel
17.7, 88
18.7, 71
20.4, 43
22.3, 54
22.5, 59
23.7, 100
30.8, 60
31.0, 42
33.7, 54
34.0, 52

Diffraction record for LiCoP2O7. The powder diffractogram is computed, not measured: it uses a PBE+U-relaxed structure and λ = 1.5418 Å (Cu Kα).
Peak positions follow from Bragg's law for the DFT cell and can differ from measured ones.

Atomic structure:
Lattice parameters (Å, degrees): 6.751 8.130 9.432 90.00 108.15 90.00
Sites, in units of the cell vectors:
Li1 0.197 0.112 0.043
Li2 0.197 0.388 0.543
Li3 0.803 0.612 0.457
Li4 0.803 0.888 0.957
Co1 0.282 0.722 0.001
Co2 0.282 0.778 0.501
Co3 0.718 0.222 0.499
Co4 0.718 0.278 0.999
P1 0.049 0.534 0.212
P2 0.049 0.966 0.712
P3 0.463 0.087 0.706
P4 0.463 0.413 0.206
P5 0.537 0.587 0.794
P6 0.537 0.913 0.294
P7 0.951 0.034 0.288
P8 0.951 0.466 0.788
O1 0.061 0.677 0.110
O2 0.061 0.823 0.610
O3 0.070 0.583 0.374
O4 0.070 0.917 0.874
O5 0.149 0.569 0.853
O6 0.149 0.931 0.353
O7 0.232 0.100 0.722
O8 0.232 0.400 0.222
O9 0.385 0.591 0.633
O10 0.385 0.909 0.133
O11 0.478 0.235 0.609
O12 0.478 0.265 0.109
O13 0.482 0.579 0.136
O14 0.482 0.921 0.636
O15 0.518 0.079 0.364
O16 0.518 0.421 0.864
O17 0.522 0.735 0.891
O18 0.522 0.765 0.391
O19 0.615 0.091 0.867
O20 0.615 0.409 0.367
O21 0.768 0.600 0.778
O22 0.768 0.900 0.278
O23 0.851 0.069 0.647
O24 0.851 0.431 0.147
O25 0.930 0.083 0.126
O26 0.930 0.417 0.626
O27 0.939 0.177 0.390
O28 0.939 0.323 0.890

Peak list (10 most intense, 2θ from 15° to 90°, sorted by position)
Position (°2θ), I_rel
17.6, 84
23.1, 28
28.7, 50
29.4, 27
29.7, 100
35.7, 17
42.3, 15
43.6, 15
58.6, 14
69.3, 12

Diffraction record for LiCoP2O7. The powder diffractogram is computed, not measured: it uses a PBE+U-relaxed structure and λ = 1.5418 Å (Cu Kα).
Peak positions follow from Bragg's law for the DFT cell and can differ from measured ones.

Atomic structure:
Lattice parameters (Å, degrees): 6.236 9.051 10.344 64.70 85.41 73.35
Sites, in units of the cell vectors:
Li1 0.000 0.000 0.000
Li2 0.090 0.671 0.961
Li3 0.490 0.324 0.507
Li4 0.667 0.751 0.106
Co1 0.315 0.926 0.266
Co2 0.398 0.307 0.242
Co3 0.652 0.337 0.742
Co4 0.732 0.723 0.715
P1 0.119 0.633 0.281
P2 0.132 0.388 0.786
P3 0.321 0.008 0.532
P4 0.446 0.128 0.029
P5 0.609 0.518 0.955
P6 0.726 0.634 0.453
P7 0.918 0.256 0.196
P8 0.921 0.012 0.700
O1 0.025 0.080 0.197
O2 0.026 0.921 0.851
O3 0.029 0.565 0.780
O4 0.080 0.343 0.218
O5 0.091 0.099 0.585
O6 0.169 0.755 0.330
O7 0.235 0.282 0.952
O8 0.273 0.914 0.451
O9 0.336 0.487 0.302
O10 0.338 0.364 0.699
O11 0.389 0.959 0.062
O12 0.402 0.489 0.041
O13 0.417 0.158 0.442
O14 0.453 0.886 0.674
O15 0.464 0.116 0.184
O16 0.587 0.530 0.800
O17 0.596 0.753 0.307
O18 0.626 0.487 0.543
O19 0.653 0.156 0.943
O20 0.672 0.681 0.929
O21 0.709 0.163 0.677
O22 0.711 0.279 0.283
O23 0.768 0.733 0.529
O24 0.818 0.360 0.030
O25 0.870 0.897 0.642
O26 0.959 0.543 0.403
O27 0.970 0.297 0.770
O28 0.996 0.717 0.134

Peak list (10 most intense, 2θ from 15° to 90°, sorted by position)
Position (°2θ), I_rel
17.2, 83
18.0, 100
19.0, 85
21.1, 44
21.6, 45
22.6, 60
23.4, 41
23.9, 90
26.0, 43
31.3, 44

Diffraction record for LiCoP2O7. The powder diffractogram is computed, not measured: it uses a PBE+U-relaxed structure and λ = 1.5418 Å (Cu Kα).
Peak positions follow from Bragg's law for the DFT cell and can differ from measured ones.

Atomic structure:
Lattice parameters (Å, degrees): 6.160 6.160 13.035 105.24 105.24 80.48
Sites, in units of the cell vectors:
Li1 0.000 0.235 0.145
Li2 0.000 0.765 0.855
Li3 0.235 0.000 0.645
Li4 0.765 0.000 0.355
Co1 0.123 0.594 0.360
Co2 0.406 0.877 0.140
Co3 0.594 0.123 0.860
Co4 0.877 0.406 0.640
P1 0.088 0.249 0.862
P2 0.249 0.088 0.362
P3 0.335 0.421 0.573
P4 0.421 0.335 0.073
P5 0.579 0.665 0.927
P6 0.665 0.579 0.427
P7 0.751 0.912 0.638
P8 0.912 0.751 0.138
O1 0.022 0.571 0.202
O2 0.078 0.891 0.119
O3 0.080 0.275 0.318
O4 0.109 0.922 0.381
O5 0.190 0.338 0.631
O6 0.204 0.394 0.979
O7 0.211 0.614 0.517
O8 0.275 0.080 0.818
O9 0.338 0.190 0.131
O10 0.386 0.789 0.983
O11 0.394 0.204 0.479
O12 0.429 0.978 0.298
O13 0.436 0.525 0.352
O14 0.475 0.564 0.148
O15 0.525 0.436 0.852
O16 0.564 0.475 0.648
O17 0.571 0.022 0.702
O18 0.606 0.796 0.521
O19 0.614 0.211 0.017
O20 0.662 0.810 0.869
O21 0.725 0.920 0.182
O22 0.789 0.386 0.483
O23 0.796 0.606 0.021
O24 0.810 0.662 0.369
O25 0.891 0.078 0.619
O26 0.920 0.725 0.682
O27 0.922 0.109 0.881
O28 0.978 0.429 0.798

Peak list (10 most intense, 2θ from 15° to 90°, sorted by position)
Position (°2θ), I_rel
18.1, 100
18.3, 25
20.1, 15
23.5, 30
29.2, 44
30.4, 71
30.8, 37
36.1, 18
43.1, 15
44.9, 17

What did the first record say?
Diffraction record for Li2CoP2O7. The powder diffractogram is computed, not measured: it uses a PBE+U-relaxed structure and λ = 1.5418 Å (Cu Kα).
Peak positions follow from Bragg's law for the DFT cell and can differ from measured ones.

Atomic structure:
Lattice parameters (Å, degrees): 6.531 9.219 10.405 66.15 87.76 73.40
Sites, in units of the cell vectors:
Li1 0.000 0.000 0.000
Li2 0.006 0.372 0.097
Li3 0.125 0.093 0.621
Li4 0.237 0.714 0.630
Li5 0.302 0.780 0.239
Li6 0.532 0.962 0.512
Li7 0.581 0.397 0.162
Li8 0.818 0.814 0.754
Co1 0.453 0.985 0.916
Co2 0.547 0.376 0.882
Co3 0.809 0.391 0.394
Co4 0.886 0.782 0.354
P1 0.058 0.330 0.835
P2 0.092 0.068 0.339
P3 0.249 0.696 0.933
P4 0.298 0.433 0.435
P5 0.479 0.077 0.187
P6 0.611 0.178 0.671
P7 0.739 0.593 0.601
P8 0.860 0.690 0.080
O1 0.066 0.944 0.281
O2 0.088 0.597 0.036
O3 0.137 0.785 0.783
O4 0.138 0.339 0.439
O5 0.149 0.150 0.846
O6 0.198 0.615 0.411
O7 0.211 0.979 0.487
O8 0.222 0.414 0.842
O9 0.245 0.168 0.228
O10 0.265 0.820 0.994
O11 0.418 0.344 0.595
O12 0.434 0.968 0.119
O13 0.457 0.558 0.959
O14 0.479 0.416 0.338
O15 0.540 0.573 0.678
O16 0.543 0.030 0.672
O17 0.559 0.220 0.093
O18 0.611 0.970 0.329
O19 0.628 0.163 0.825
O20 0.724 0.798 0.939
O21 0.726 0.601 0.449
O22 0.788 0.540 0.174
O23 0.803 0.744 0.594
O24 0.812 0.197 0.595
O25 0.885 0.339 0.939
O26 0.889 0.210 0.314
O27 0.904 0.796 0.150
O28 0.935 0.429 0.678

Peak list (10 most intense, 2θ from 15° to 90°, sorted by position)
Position (°2θ), I_rel
17.7, 88
18.7, 71
20.4, 43
22.3, 54
22.5, 59
23.7, 100
30.8, 60
31.0, 42
33.7, 54
34.0, 52